Calculated powder X-ray diffraction pattern of TbSe2O5 for a wavelength of 1.5418 Å, from a structure optimized by DFT (PBE).
Intensities are scaled so that the largest is 100.

Cell and atoms:
```
TbSe2O5
1.0
7.285 0.000 0.000
0.000 10.785 0.000
0.000 0.000 6.972
Tb Se O
4 8 20
Direct
0.000 0.067 0.250 Tb
0.000 0.933 0.750 Tb
0.500 0.433 0.750 Tb
0.500 0.567 0.250 Tb
0.123 0.359 0.028 Se
0.123 0.641 0.528 Se
0.377 0.141 0.528 Se
0.377 0.859 0.028 Se
0.623 0.141 0.972 Se
0.623 0.859 0.472 Se
0.877 0.359 0.472 Se
0.877 0.641 0.972 Se
0.000 0.430 0.250 O
0.000 0.570 0.750 O
0.160 0.065 0.538 O
0.160 0.935 0.038 O
0.177 0.220 0.137 O
0.177 0.780 0.637 O
0.323 0.280 0.637 O
0.323 0.720 0.137 O
0.340 0.435 0.038 O
0.340 0.565 0.538 O
0.500 0.070 0.750 O
0.500 0.930 0.250 O
0.660 0.435 0.462 O
0.660 0.565 0.962 O
0.677 0.280 0.863 O
0.677 0.720 0.363 O
0.823 0.220 0.363 O
0.823 0.780 0.863 O
0.840 0.065 0.962 O
0.840 0.935 0.462 O
```

Principal peaks in the range 2θ from 10° to 80°, most intense first:
| d/Å | intensity |
| --- | --- |
| 3.019 | 100 |
| 2.926 | 76 |
| 4.564 | 67 |
| 3.681 | 62 |
| 3.093 | 43 |
| 2.517 | 36 |
| 6.037 | 36 |
| 3.224 | 30 |
| 1.614 | 27 |
| 2.134 | 24 |